NaAl2Tl3F9: calculated powder X-ray diffraction pattern (Cu Kα (λ = 1.5418 Å)), based on a cell relaxed with PBE.
Peak positions follow from Bragg's law for the DFT cell and can differ from measured ones.

Structural model:
abc: 5.8010 5.8010 7.8982
angles: 90.00 90.00 120.00
Space group P-3m1 (No. 164)
Asymmetric unit:
Na: 0.0000 0.0000 0.0000 [1 per cell]
Al: 0.3333 0.6667 0.6413 [2 per cell]
Tl: 0.0000 0.0000 0.5000 [1 per cell]
Tl: 0.3333 0.6667 0.0983 [2 per cell]
F: 0.0000 0.5000 0.5000 [3 per cell]
F: 0.1843 0.3686 0.7645 [6 per cell]

Most intense lines, 10° ≤ 2θ ≤ 80°, in order of rising 2θ:
| hkl | d_spacing | I_rel |
| --- | --- | --- |
| 1 0 1 | 4.239 | 100 |
| 0 1 2 | 3.105 | 70 |
| 1 1 0 | 2.901 | 74 |
| 0 2 1 | 2.394 | 49 |
| 1 0 3 | 2.335 | 57 |
| 2 0 2 | 2.119 | 36 |

***

CsTa5Te8: calculated powder X-ray diffraction pattern (Cu Kα (λ = 1.5418 Å)), based on a cell relaxed with PBE.
Peak positions follow from Bragg's law for the DFT cell and can differ from measured ones.

Structural model:
abc: 21.4328 3.7533 9.9434
angles: 90.00 105.90 90.00
Space group Cm (No. 8)
Asymmetric unit:
Cs: 0.0000 0.0000 0.0000 [2 per cell]
Ta: 0.1514 0.0000 0.5238 [2 per cell]
Ta: 0.1972 0.0000 0.8227 [2 per cell]
Ta: 0.2758 0.5000 0.1207 [2 per cell]
Ta: 0.3545 0.5000 0.4820 [2 per cell]
Ta: 0.4647 0.0000 0.4778 [2 per cell]
Te: 0.0551 0.0000 0.6575 [2 per cell]
Te: 0.0740 0.5000 0.3410 [2 per cell]
Te: 0.1473 0.5000 0.9797 [2 per cell]
Te: 0.2475 0.5000 0.6435 [2 per cell]
Te: 0.2527 0.0000 0.3253 [2 per cell]
Te: 0.3265 0.0000 0.9701 [2 per cell]
Te: 0.4044 0.0000 0.6891 [2 per cell]
Te: 0.4141 0.5000 0.2694 [2 per cell]

Most intense lines, 10° ≤ 2θ ≤ 80°, in order of rising 2θ:
| hkl | d_spacing | I_rel |
| --- | --- | --- |
| 2 0 -1 | 8.223 | 51 |
| 3 1 1 | 2.995 | 100 |
| 6 0 2 | 2.485 | 47 |
| 3 1 -3 | 2.458 | 66 |
| 9 1 -1 | 2.010 | 48 |
| 0 2 0 | 1.877 | 38 |

***

PaCr2SiC: calculated powder X-ray diffraction pattern (Cu Kα (λ = 1.5418 Å)), based on a cell relaxed with PBE.
Peak positions follow from Bragg's law for the DFT cell and can differ from measured ones.

Structural model:
abc: 3.4943 10.8758 7.4038
angles: 90.00 90.00 90.00
Space group Cmcm (No. 63)
Asymmetric unit:
Pa: 0.0000 0.0350 0.2500 [4 per cell]
Cr: 0.0000 0.3271 0.0554 [8 per cell]
Si: 0.0000 0.2437 0.7500 [4 per cell]
C: 0.0000 0.5000 0.0000 [4 per cell]

Most intense lines, 10° ≤ 2θ ≤ 80°, in order of rising 2θ:
| hkl | d_spacing | I_rel |
| --- | --- | --- |
| 0 2 0 | 5.438 | 35 |
| 1 1 0 | 3.327 | 37 |
| 0 2 2 | 3.060 | 54 |
| 0 4 1 | 2.552 | 34 |
| 1 3 0 | 2.516 | 53 |
| 1 1 2 | 2.474 | 100 |

***

Nd2Al4Ir3Pt: calculated powder X-ray diffraction pattern (Cu Kα (λ = 1.5418 Å)), based on a cell relaxed with PBE.
Peak positions follow from Bragg's law for the DFT cell and can differ from measured ones.

Structural model:
abc: 4.2394 4.2394 10.4565
angles: 90.00 90.00 90.00
Space group P-4m2 (No. 115)
Asymmetric unit:
Nd: 0.0000 0.5000 0.2471 [2 per cell]
Al: 0.0000 0.0000 0.5000 [1 per cell]
Al: 0.0000 0.5000 0.8740 [2 per cell]
Al: 0.5000 0.5000 0.5000 [1 per cell]
Ir: 0.0000 0.0000 0.0000 [1 per cell]
Ir: 0.0000 0.5000 0.6341 [2 per cell]
Pt: 0.5000 0.5000 0.0000 [1 per cell]

Most intense lines, 10° ≤ 2θ ≤ 80°, in order of rising 2θ:
| hkl | d_spacing | I_rel |
| --- | --- | --- |
| 0 0 3 | 3.485 | 30 |
| 1 0 2 | 3.293 | 35 |
| 1 1 1 | 2.882 | 64 |
| 1 0 3 | 2.692 | 55 |
| 1 1 2 | 2.601 | 100 |
| 2 0 0 | 2.120 | 63 |

***

Rb3NaAu6: calculated powder X-ray diffraction pattern (Cu Kα (λ = 1.5418 Å)), based on a cell relaxed with PBE.
Peak positions follow from Bragg's law for the DFT cell and can differ from measured ones.

Structural model:
abc: 11.6040 7.2474 7.0545
angles: 90.00 109.96 90.00
Space group C2/m (No. 12)
Asymmetric unit:
Rb: 0.0000 0.0000 0.0000 [2 per cell]
Rb: 0.0210 0.5000 0.7640 [4 per cell]
Na: 0.0000 0.0000 0.5000 [2 per cell]
Au: 0.2354 0.0000 0.4403 [4 per cell]
Au: 0.2424 0.1946 0.8012 [8 per cell]

Most intense lines, 10° ≤ 2θ ≤ 80°, in order of rising 2θ:
| hkl | d_spacing | I_rel |
| --- | --- | --- |
| 2 0 0 | 5.453 | 100 |
| 2 2 -1 | 2.966 | 26 |
| 4 0 0 | 2.727 | 47 |
| 1 1 2 | 2.699 | 24 |
| 2 2 -2 | 2.477 | 29 |
| 4 0 -3 | 2.103 | 22 |

***

Bi3HPd6: calculated powder X-ray diffraction pattern (Cu Kα (λ = 1.5418 Å)), based on a cell relaxed with PBE.
Peak positions follow from Bragg's law for the DFT cell and can differ from measured ones.

Structural model:
abc: 10.4246 14.6281 4.6187
angles: 90.00 90.00 90.00
Space group Cmcm (No. 63)
Asymmetric unit:
Bi: 0.0000 0.1040 0.2500 [4 per cell]
Bi: 0.1708 0.3929 0.7500 [8 per cell]
H: 0.0000 0.3122 0.2500 [4 per cell]
Pd: 0.0000 0.2235 0.7500 [4 per cell]
Pd: 0.0000 0.4381 0.2500 [4 per cell]
Pd: 0.1658 0.2729 0.2500 [8 per cell]
Pd: 0.1680 0.0626 0.7500 [8 per cell]

Most intense lines, 10° ≤ 2θ ≤ 80°, in order of rising 2θ:
| hkl | d_spacing | I_rel |
| --- | --- | --- |
| 3 3 0 | 2.830 | 16 |
| 3 3 1 | 2.413 | 100 |
| 0 0 2 | 2.309 | 27 |
| 0 6 1 | 2.156 | 25 |
| 3 3 3 | 1.353 | 27 |
| 3 9 2 | 1.241 | 14 |

***

ZrSc2Pt9: calculated powder X-ray diffraction pattern (Cu Kα (λ = 1.5418 Å)), based on a cell relaxed with PBE.
Peak positions follow from Bragg's law for the DFT cell and can differ from measured ones.

Structural model:
abc: 4.0231 4.0231 12.0639
angles: 90.00 90.00 90.00
Space group P4/mmm (No. 123)
Asymmetric unit:
Zr: 0.0000 0.0000 0.0000 [1 per cell]
Sc: 0.0000 0.0000 0.3364 [2 per cell]
Pt: 0.0000 0.5000 0.1676 [4 per cell]
Pt: 0.0000 0.5000 0.5000 [2 per cell]
Pt: 0.5000 0.5000 0.0000 [1 per cell]
Pt: 0.5000 0.5000 0.3338 [2 per cell]

Most intense lines, 10° ≤ 2θ ≤ 80°, in order of rising 2θ:
| hkl | d_spacing | I_rel |
| --- | --- | --- |
| 1 0 0 | 4.023 | 13 |
| 1 1 0 | 2.844 | 11 |
| 1 1 3 | 2.322 | 100 |
| 2 0 0 | 2.011 | 49 |
| 2 2 0 | 1.422 | 32 |
| 3 1 3 | 1.213 | 39 |

***

Sm2Br2N: calculated powder X-ray diffraction pattern (Cu Kα (λ = 1.5418 Å)), based on a cell relaxed with PBE.
Peak positions follow from Bragg's law for the DFT cell and can differ from measured ones.

Structural model:
abc: 6.5223 3.7662 11.2230
angles: 90.00 102.43 90.00
Space group C2/m (No. 12)
Asymmetric unit:
Sm: 0.2120 0.0000 0.1222 [4 per cell]
Br: 0.0542 0.0000 0.6961 [4 per cell]
N: 0.0000 0.5000 0.0000 [2 per cell]

Most intense lines, 10° ≤ 2θ ≤ 80°, in order of rising 2θ:
| hkl | d_spacing | I_rel |
| --- | --- | --- |
| 2 0 -1 | 3.245 | 56 |
| 2 0 -3 | 2.706 | 52 |
| 1 1 2 | 2.665 | 100 |
| 1 1 -3 | 2.569 | 43 |
| 1 1 -5 | 1.916 | 29 |
| 0 2 0 | 1.883 | 71 |

***

Rb2Pb5Au4: calculated powder X-ray diffraction pattern (Cu Kα (λ = 1.5418 Å)), based on a cell relaxed with PBE.
Peak positions follow from Bragg's law for the DFT cell and can differ from measured ones.

Structural model:
abc: 12.8661 7.0969 9.5680
angles: 90.00 128.89 90.00
Space group C2/m (No. 12)
Asymmetric unit:
Rb: 0.2002 0.0000 0.1662 [4 per cell]
Pb: 0.0000 0.5000 0.0000 [2 per cell]
Pb: 0.0249 0.2489 0.3486 [8 per cell]
Au: 0.2111 0.0000 0.8244 [4 per cell]
Au: 0.2473 0.5000 0.4321 [4 per cell]

Most intense lines, 10° ≤ 2θ ≤ 80°, in order of rising 2θ:
| hkl | d_spacing | I_rel |
| --- | --- | --- |
| 1 1 -1 | 5.678 | 52 |
| 2 0 -3 | 3.144 | 76 |
| 2 2 0 | 2.895 | 100 |
| 4 0 0 | 2.504 | 35 |
| 4 2 -2 | 2.381 | 33 |
| 5 1 -3 | 2.366 | 46 |

***

PaH4Ir: calculated powder X-ray diffraction pattern (Cu Kα (λ = 1.5418 Å)), based on a cell relaxed with PBE.
Peak positions follow from Bragg's law for the DFT cell and can differ from measured ones.

Structural model:
abc: 7.5353 4.3567 7.3085
angles: 90.00 108.37 90.00
Space group C2/c (No. 15)
Asymmetric unit:
Pa: 0.0000 0.2311 0.2500 [4 per cell]
H: 0.0138 0.2883 0.9083 [8 per cell]
H: 0.1962 0.0752 0.6009 [8 per cell]
Ir: 0.2500 0.2500 0.0000 [4 per cell]

Most intense lines, 10° ≤ 2θ ≤ 80°, in order of rising 2θ:
| hkl | d_spacing | I_rel |
| --- | --- | --- |
| 1 1 1 | 3.075 | 100 |
| 2 0 -2 | 3.008 | 48 |
| 3 1 -1 | 2.176 | 59 |
| 2 0 2 | 2.171 | 20 |
| 1 1 -3 | 2.126 | 37 |
| 2 2 -2 | 1.764 | 21 |

***

PrErCl: calculated powder X-ray diffraction pattern (Cu Kα (λ = 1.5418 Å)), based on a cell relaxed with PBE.
Peak positions follow from Bragg's law for the DFT cell and can differ from measured ones.

Structural model:
abc: 3.6991 3.6991 7.2581
angles: 90.00 90.00 120.00
Space group P3m1 (No. 156)
Asymmetric unit:
Pr: 0.0000 0.0000 0.0000 [1 per cell]
Er: 0.3333 0.6667 0.3805 [1 per cell]
Cl: 0.6667 0.3333 0.6640 [1 per cell]

Most intense lines, 10° ≤ 2θ ≤ 80°, in order of rising 2θ:
| hkl | d_spacing | I_rel |
| --- | --- | --- |
| 0 1 1 | 2.931 | 100 |
| 1 0 2 | 2.402 | 45 |
| 1 1 0 | 1.850 | 22 |
| 0 1 4 | 1.579 | 16 |
| 2 0 1 | 1.564 | 15 |
| 1 1 3 | 1.469 | 17 |

***

Ce2SmSnN2: calculated powder X-ray diffraction pattern (Cu Kα (λ = 1.5418 Å)), based on a cell relaxed with PBE.
Peak positions follow from Bragg's law for the DFT cell and can differ from measured ones.

Structural model:
abc: 4.5172 4.5172 6.6823
angles: 90.00 90.00 90.00
Space group P4/mmm (No. 123)
Asymmetric unit:
Ce: 0.0000 0.0000 0.2256 [2 per cell]
Sm: 0.5000 0.5000 0.0000 [1 per cell]
Sn: 0.5000 0.5000 0.5000 [1 per cell]
N: 0.0000 0.5000 0.0000 [2 per cell]

Most intense lines, 10° ≤ 2θ ≤ 80°, in order of rising 2θ:
| hkl | d_spacing | I_rel |
| --- | --- | --- |
| 1 1 0 | 3.194 | 75 |
| 1 0 2 | 2.686 | 100 |
| 2 0 0 | 2.259 | 35 |
| 2 1 2 | 1.729 | 54 |
| 1 1 4 | 1.480 | 13 |
| 3 1 0 | 1.428 | 14 |